[1]
Na3Ga: simulated powder XRD pattern (copper Kα), based on a structure optimized by DFT (GGA-PBE).
Peak positions follow from Bragg's law for the DFT cell and can differ from measured ones.

Largest 8 diffraction maxima, sorted by position, 2θ = 10–90°:
d/Å  Position (°2θ)  I (rel.)
4.832  18.4  32
3.417  26.1  28
2.790  32.1  100
2.416  37.2  50
2.161  41.8  16
1.708  53.6  33
1.457  63.9  37
1.109  88.1  14

Atomic structure:
Unit cell a=4.8319 b=4.8319 c=4.8319 alpha=90.00 beta=90.00 gamma=90.00
Space group Pm-3m (No. 221)
One atom of each set of equivalent atoms:
Na 0.0000 0.0000 0.5000 x3
Ga 0.5000 0.5000 0.5000 x1


[2]
Er2TcAg: simulated powder XRD pattern (copper Kα), based on a structure optimized by DFT (GGA-PBE).
Peak positions follow from Bragg's law for the DFT cell and can differ from measured ones.

Largest 8 diffraction maxima, sorted by position, 2θ = 10–90°:
d/Å  Position (°2θ)  I (rel.)
3.486  25.6  6
2.465  36.5  100
2.013  45.0  2
1.743  52.5  17
1.559  59.3  3
1.423  65.6  35
1.232  77.4  11
1.102  88.8  16

Atomic structure:
Unit cell a=6.9716 b=6.9716 c=6.9716 alpha=90.00 beta=90.00 gamma=90.00
Space group Fm-3m (No. 225)
One atom of each set of equivalent atoms:
Er 0.2500 0.2500 0.2500 x8
Tc 0.0000 0.0000 0.0000 x4
Ag 0.0000 0.0000 0.5000 x4


[3]
Cs4In2S5: simulated powder XRD pattern (copper Kα), based on a structure optimized by DFT (GGA-PBE).
Peak positions follow from Bragg's law for the DFT cell and can differ from measured ones.

Largest 8 diffraction maxima, sorted by position, 2θ = 10–90°:
d/Å  Position (°2θ)  I (rel.)
4.008  22.2  85
3.725  23.9  100
3.664  24.3  51
3.520  25.3  45
3.239  27.5  64
3.148  28.4  46
2.964  30.1  37
2.908  30.7  34

Atomic structure:
Unit cell a=8.0649 b=9.9160 c=11.3248 alpha=72.36 beta=70.32 gamma=83.98
Space group P-1 (No. 2)
One atom of each set of equivalent atoms:
Cs 0.0027 0.2879 0.4114 x2
Cs 0.0470 0.6882 0.0419 x2
Cs 0.2685 0.9729 0.1601 x2
Cs 0.3807 0.3189 0.5949 x2
In 0.3839 0.9117 0.6656 x2
In 0.4667 0.4928 0.1583 x2
S 0.2255 0.0155 0.8410 x2
S 0.2493 0.6025 0.3112 x2
S 0.2993 0.0145 0.4563 x2
S 0.3239 0.6488 0.7274 x2
S 0.3351 0.3532 0.0582 x2


[4]
Mg14ZnW: simulated powder XRD pattern (copper Kα), based on a structure optimized by DFT (GGA-PBE).
Peak positions follow from Bragg's law for the DFT cell and can differ from measured ones.

Largest 8 diffraction maxima, sorted by position, 2θ = 10–90°:
d/Å  Position (°2θ)  I (rel.)
5.407  16.4  31
4.752  18.7  44
3.663  24.3  21
2.702  33.2  31
2.489  36.1  24
2.375  37.9  100
1.831  49.8  19
1.414  66.1  18

Atomic structure:
Unit cell a=9.9568 b=6.2333 c=10.8219 alpha=90.00 beta=90.00 gamma=90.00
Space group Amm2 (No. 38)
One atom of each set of equivalent atoms:
Mg 0.0000 0.0000 0.0000 x2
Mg 0.0000 0.0000 0.4996 x2
Mg 0.0000 0.2491 0.2510 x4
Mg 0.2542 0.0000 0.6648 x4
Mg 0.2579 0.0000 0.1615 x4
Mg 0.2638 0.2456 0.9206 x8
Mg 0.5000 0.2483 0.2499 x4
Zn 0.5000 0.0000 0.5010 x2
W 0.5000 0.0000 0.0017 x2


Copy entry 3 word for word.
Cs4In2S5: simulated powder XRD pattern (copper Kα), based on a structure optimized by DFT (GGA-PBE).
Peak positions follow from Bragg's law for the DFT cell and can differ from measured ones.

Largest 8 diffraction maxima, sorted by position, 2θ = 10–90°:
d/Å  Position (°2θ)  I (rel.)
4.008  22.2  85
3.725  23.9  100
3.664  24.3  51
3.520  25.3  45
3.239  27.5  64
3.148  28.4  46
2.964  30.1  37
2.908  30.7  34

Atomic structure:
Unit cell a=8.0649 b=9.9160 c=11.3248 alpha=72.36 beta=70.32 gamma=83.98
Space group P-1 (No. 2)
One atom of each set of equivalent atoms:
Cs 0.0027 0.2879 0.4114 x2
Cs 0.0470 0.6882 0.0419 x2
Cs 0.2685 0.9729 0.1601 x2
Cs 0.3807 0.3189 0.5949 x2
In 0.3839 0.9117 0.6656 x2
In 0.4667 0.4928 0.1583 x2
S 0.2255 0.0155 0.8410 x2
S 0.2493 0.6025 0.3112 x2
S 0.2993 0.0145 0.4563 x2
S 0.3239 0.6488 0.7274 x2
S 0.3351 0.3532 0.0582 x2